Computed powder XRD pattern
Compound: Tb2Ti2O7
Radiation: Cu Kα (λ = 1.5418 Å)
Structure: a DFT-relaxed cell (PBE, Alexandria)
Lines closer than 0.1° are merged.

Main lines, sorted by position (10 to 80 degrees two-theta):
d (Å)	Rel. int.
4.157	54
3.278	33
3.063	40
2.910	100
2.799	29
2.688	33
2.660	48
1.890	24
1.884	30
1.546	22

Structure:
```
data_Tb2Ti2O7
_chemical_formula_sum 'Tb8 Ti8 O28'
_cell_length_a 7.5376
_cell_length_b 5.3752
_cell_length_c 13.2515
_cell_angle_alpha 90.00
_cell_angle_beta 98.34
_cell_angle_gamma 90.00
_symmetry_space_group_name_H-M 'P 1 21 1'
_symmetry_Int_Tables_number 4
_symmetry_space_group_name_Hall 'P 2yb'
loop_
_atom_site_label
_atom_site_type_symbol
_atom_site_fract_x
_atom_site_fract_y
_atom_site_fract_z
_atom_site_occupancy
Tb1 Tb 0.1423 0.0000 0.0632 1
Tb2 Tb 0.2343 0.5940 0.4255 1
Tb3 Tb 0.2850 0.1170 0.6329 1
Tb4 Tb 0.3538 0.5796 0.8851 1
Ti1 Ti 0.0308 0.5947 0.6240 1
Ti2 Ti 0.0701 0.0753 0.8209 1
Ti3 Ti 0.4108 0.5652 0.1721 1
Ti4 Ti 0.4689 0.0953 0.3717 1
O1 O 0.0094 0.9299 0.6793 1
O2 O 0.0582 0.3289 0.5260 1
O3 O 0.0739 0.7981 0.9072 1
O4 O 0.1278 0.4095 0.7334 1
O5 O 0.1387 0.2922 0.9307 1
O6 O 0.1721 0.6844 0.1844 1
O7 O 0.2212 0.0178 0.3834 1
O8 O 0.2730 0.7105 0.5924 1
O9 O 0.3269 0.9846 0.8051 1
O10 O 0.3658 0.2659 0.1167 1
O11 O 0.4127 0.7706 0.0538 1
O12 O 0.4222 0.4316 0.3224 1
O13 O 0.4559 0.3318 0.5284 1
O14 O 0.4873 0.4086 0.7367 1
```